1.
For CeSe2, a cell relaxed with PBE gives the computed powder X-ray diffraction pattern in this record (Cu Kα, 1.54184 Å).
Intensities are scaled so that the largest is 100.

Cell lengths 3.976, 15.774, 4.594 Å; angles 90.00, 90.00, 90.00 degrees
Space group Cmcm (No. 63)
Symmetry-distinct sites (fractional):
Ce  0.000  0.116  0.250
Se  0.000  0.245  0.750
Se  0.000  0.431  0.250

Principal peaks in the range 2θ = 10–90°, sorted by position:
28.1 deg, I 14, (1 3 0); 34.4 deg, I 100, (1 3 1); 39.2 deg, I 21, (0 0 2); 39.5 deg, I 16, (0 6 1); 45.6 deg, I 15, (2 0 0); 68.0 deg, I 13, (1 3 3)

***

2.
For LiBiP2O8, a cell relaxed with PBE gives the computed powder X-ray diffraction pattern in this record (Cu Kα, 1.54184 Å).
Intensities are scaled so that the largest is 100.

Cell lengths 7.656, 8.769, 8.769 Å; angles 60.02, 89.83, 89.90 degrees
Space group P1 (No. 1)
Symmetry-distinct sites (fractional):
Li  0.000  0.000  0.000
Li  0.004  0.668  0.668
Li  0.897  0.331  0.334
Bi  0.430  0.000  0.002
Bi  0.490  0.333  0.335
Bi  0.572  0.666  0.669
P  0.262  0.372  0.976
P  0.262  0.653  0.375
P  0.262  0.974  0.656
P  0.741  0.013  0.295
P  0.742  0.293  0.695
P  0.742  0.693  0.015
O  0.102  0.484  0.902
O  0.102  0.616  0.487
O  0.103  0.900  0.618
O  0.248  0.215  0.938
O  0.248  0.849  0.217
O  0.248  0.936  0.851
O  0.285  0.291  0.180
O  0.287  0.177  0.534
O  0.287  0.532  0.293
O  0.439  0.474  0.906
O  0.439  0.622  0.477
O  0.440  0.903  0.625
O  0.564  0.041  0.196
O  0.564  0.192  0.768
O  0.565  0.765  0.044
O  0.721  0.143  0.368
O  0.721  0.365  0.492
O  0.722  0.490  0.145
O  0.754  0.453  0.728
O  0.755  0.726  0.821
O  0.755  0.819  0.455
O  0.901  0.048  0.183
O  0.902  0.182  0.770
O  0.902  0.769  0.050

Principal peaks in the range 2θ = 10–90°, sorted by position:
11.6 deg, I 79, (1 0 0); 20.3 deg, I 49, (0 2 1); 23.4 deg, I 100, (1 1 -1); 31.0 deg, I 38, (2 1 2); 35.5 deg, I 21, (0 3 0); 37.4 deg, I 28, (1 3 3)

***

3.
For SrLaI5, a cell relaxed with PBE gives the computed powder X-ray diffraction pattern in this record (Cu Kα, 1.54184 Å).
Intensities are scaled so that the largest is 100.

Cell lengths 6.434, 22.042, 8.014 Å; angles 90.00, 95.31, 90.00 degrees
Space group C2/c (No. 15)
Symmetry-distinct sites (fractional):
Sr  0.000  0.177  0.250
La  0.000  0.421  0.250
I  0.000  0.131  0.750
I  0.002  0.304  0.507
I  0.249  0.462  0.607

Principal peaks in the range 2θ = 10–90°, sorted by position:
25.5 deg, I 46, (1 1 -2); 26.4 deg, I 38, (1 5 -1); 29.0 deg, I 52, (2 2 0); 30.0 deg, I 100, (1 3 2); 31.7 deg, I 44, (1 7 0); 32.5 deg, I 60, (1 5 -2)

***

4.
For Zn3Cu3Te2O12, a cell relaxed with PBE gives the computed powder X-ray diffraction pattern in this record (Cu Kα, 1.54184 Å).
Intensities are scaled so that the largest is 100.

Cell lengths 9.724, 9.724, 9.724 Å; angles 90.00, 90.00, 90.00 degrees
Space group I2_13 (No. 199)
Symmetry-distinct sites (fractional):
Zn  0.000  0.250  0.286
Cu  0.000  0.250  0.781
Te  0.004  0.496  0.504
O  0.076  0.124  0.646
O  0.080  0.382  0.142

Principal peaks in the range 2θ = 10–90°, sorted by position:
18.2 deg, I 16, (2 0 0); 31.9 deg, I 100, (2 2 2); 37.0 deg, I 28, (4 0 0); 47.7 deg, I 9, (4 1 3); 53.3 deg, I 37, (4 4 0); 63.5 deg, I 29, (6 2 2)

***

5.
For Ho2MgS4, a cell relaxed with PBE gives the computed powder X-ray diffraction pattern in this record (Cu Kα, 1.54184 Å).
Intensities are scaled so that the largest is 100.

Cell lengths 7.943, 7.257, 11.410 Å; angles 90.00, 90.00, 90.00 degrees
Space group Pnma (No. 62)
Symmetry-distinct sites (fractional):
Ho  0.036  0.250  0.190
Ho  0.075  0.750  0.478
Mg  0.183  0.750  0.092
S  0.103  0.250  0.955
S  0.128  0.000  0.656
S  0.219  0.250  0.389

Principal peaks in the range 2θ = 10–90°, sorted by position:
14.5 deg, I 82, (0 1 1); 24.5 deg, I 91, (0 2 0); 26.0 deg, I 56, (1 0 3); 36.0 deg, I 100, (1 2 3); 37.0 deg, I 66, (3 1 1); 50.3 deg, I 51, (0 4 0)

***

6.
For NaCa2TiSi2O8F, a cell relaxed with PBE gives the computed powder X-ray diffraction pattern in this record (Cu Kα, 1.54184 Å).
Intensities are scaled so that the largest is 100.

Cell lengths 5.816, 7.568, 19.298 Å; angles 78.72, 87.76, 89.95 degrees
Space group P1 (No. 1)
Symmetry-distinct sites (fractional):
Na  0.000  0.000  0.000
Na  0.004  0.490  0.000
Na  0.677  0.782  0.498
Na  0.702  0.280  0.493
Ca  0.259  0.948  0.173
Ca  0.263  0.430  0.179
Ca  0.441  0.932  0.681
Ca  0.447  0.439  0.677
Ca  0.731  0.608  0.822
Ca  0.740  0.120  0.824
Ca  0.922  0.116  0.322
Ca  0.931  0.614  0.318
Ti  0.113  0.515  0.525
Ti  0.243  0.042  0.476
Ti  0.505  0.228  0.999
Ti  0.505  0.652  0.001
Si  0.231  0.332  0.854
Si  0.232  0.857  0.860
Si  0.422  0.373  0.353
Si  0.429  0.841  0.344
Si  0.746  0.714  0.143
Si  0.754  0.184  0.147
Si  0.960  0.718  0.652
Si  0.961  0.182  0.654
O  0.198  0.682  0.690
O  0.199  0.177  0.692
O  0.204  0.876  0.298
O  0.206  0.374  0.304
O  0.252  0.336  0.936
O  0.262  0.774  0.943
O  0.337  0.057  0.055
O  0.347  0.482  0.058
O  0.365  0.989  0.560
O  0.376  0.269  0.434
O  0.397  0.892  0.421
O  0.406  0.512  0.548
O  0.461  0.859  0.810
O  0.462  0.375  0.804
O  0.495  0.688  0.179
O  0.511  0.178  0.188
O  0.657  0.534  0.944
O  0.665  0.110  0.943
O  0.681  0.360  0.325
O  0.687  0.870  0.313
O  0.717  0.673  0.695
O  0.719  0.183  0.697
O  0.759  0.714  0.058
O  0.766  0.265  0.063
O  0.948  0.050  0.452
O  0.956  0.682  0.572
O  0.961  0.300  0.574
O  0.969  0.646  0.187
O  0.979  0.842  0.832
O  0.982  0.196  0.191
O  0.984  0.374  0.822
O  0.994  0.560  0.440
F  0.219  0.088  0.867
F  0.429  0.599  0.370
F  0.805  0.949  0.136
F  0.929  0.961  0.632

Principal peaks in the range 2θ = 10–90°, sorted by position:
28.3 deg, I 84, (0 0 6); 28.4 deg, I 29, (1 2 2); 28.6 deg, I 100, (-1 2 2); 29.9 deg, I 53, (1 2 -1); 33.4 deg, I 31, (2 0 3); 48.1 deg, I 44, (0 4 2)